No. 1
The following is a simulated PXRD pattern of Cs2ZnC4N4. It was derived from a crystal structure in OQMD, relaxed with PBE, using Cu Kα (λ = 1.5418 Å).

Atomic structure:
```
data_Cs2ZnC4N4
_space_group_name_H-M_alt 'P 1'
_space_group_IT_number 1
_cell_length_a 8.4818
_cell_length_b 8.4818
_cell_length_c 8.4199
_cell_angle_alpha 106.05
_cell_angle_beta 106.05
_cell_angle_gamma 64.52
loop_
_space_group_symop_operation_xyz
'x,y,z'
loop_
_atom_site_label
_atom_site_fract_x
_atom_site_fract_y
_atom_site_fract_z
_atom_site_occupancy
Cs1 0.0100 0.6415 0.7715 1
Cs2 0.3585 0.9900 0.7285 1
Cs3 0.6415 0.0100 0.2715 1
Cs4 0.9900 0.3585 0.2285 1
Zn1 0.3154 0.6846 0.2500 1
Zn2 0.6846 0.3154 0.7500 1
C1 0.1324 0.7463 0.3886 1
C2 0.2537 0.8676 0.1114 1
C3 0.3273 0.4518 0.1026 1
C4 0.4518 0.3273 0.6026 1
C5 0.5482 0.6727 0.3974 1
C6 0.6727 0.5482 0.8974 1
C7 0.7463 0.1324 0.8886 1
C8 0.8676 0.2537 0.6114 1
N1 0.0251 0.7755 0.4672 1
N2 0.2245 0.9749 0.0328 1
N3 0.3169 0.3248 0.5185 1
N4 0.3248 0.3169 0.0185 1
N5 0.6752 0.6831 0.9815 1
N6 0.6831 0.6752 0.4815 1
N7 0.7755 0.0251 0.9672 1
N8 0.9749 0.2245 0.5328 1
```

Most intense lines, 10° ≤ 2θ ≤ 80°, by angle:
2θ (°), d_spacing, I/Imax
19.61, 4.527, 33
21.54, 4.125, 100
22.35, 3.979, 41
22.60, 3.935, 69
26.44, 3.372, 28
27.51, 3.242, 85
29.90, 2.989, 38
34.60, 2.593, 32
35.78, 2.510, 44
38.82, 2.320, 35



No. 2
The following is a simulated PXRD pattern of CsRbPtC2. It was derived from a crystal structure in OQMD, relaxed with PBE, using Cu Kα (λ = 1.5418 Å).

Atomic structure:
```
data_CsRbPtC2
_space_group_name_H-M_alt 'P 1'
_space_group_IT_number 1
_cell_length_a 5.5874
_cell_length_b 5.5874
_cell_length_c 5.2480
_cell_angle_alpha 90.00
_cell_angle_beta 90.00
_cell_angle_gamma 120.00
loop_
_space_group_symop_operation_xyz
'x,y,z'
loop_
_atom_site_label
_atom_site_fract_x
_atom_site_fract_y
_atom_site_fract_z
_atom_site_occupancy
Cs1 0.0000 0.0000 0.0000 1
Rb1 0.6667 0.3333 0.4501 1
Pt1 0.3333 0.6667 0.7245 1
C1 0.3333 0.6667 0.1037 1
C2 0.3333 0.6667 0.3465 1
```

Most intense lines, 10° ≤ 2θ ≤ 80°, by angle:
2θ (°), d_spacing, I/Imax
16.89, 5.248, 12
18.33, 4.839, 19
25.03, 3.557, 100
32.04, 2.794, 69
39.05, 2.307, 40
41.08, 2.197, 27
51.37, 1.779, 18
53.02, 1.727, 26
57.10, 1.613, 13
61.84, 1.500, 21



No. 3
The following is a simulated PXRD pattern of Cu14C. It was derived from a crystal structure in OQMD, relaxed with PBE, using Cu Kα (λ = 1.5418 Å).

Atomic structure:
```
data_Cu14C
_space_group_name_H-M_alt 'P 1'
_space_group_IT_number 1
_cell_length_a 5.9076
_cell_length_b 5.9076
_cell_length_c 5.9076
_cell_angle_alpha 75.76
_cell_angle_beta 75.76
_cell_angle_gamma 75.76
loop_
_space_group_symop_operation_xyz
'x,y,z'
loop_
_atom_site_label
_atom_site_fract_x
_atom_site_fract_y
_atom_site_fract_z
_atom_site_occupancy
Cu1 0.1496 0.1496 0.1496 1
Cu2 0.1761 0.5000 0.8240 1
Cu3 0.1761 0.8240 0.5000 1
Cu4 0.2136 0.2136 0.5648 1
Cu5 0.2136 0.5648 0.2136 1
Cu6 0.4352 0.7864 0.7864 1
Cu7 0.5000 0.1760 0.8240 1
Cu8 0.5000 0.8240 0.1760 1
Cu9 0.5648 0.2136 0.2136 1
Cu10 0.7864 0.4352 0.7864 1
Cu11 0.7864 0.7864 0.4352 1
Cu12 0.8240 0.1760 0.5000 1
Cu13 0.8240 0.5000 0.1760 1
Cu14 0.8504 0.8504 0.8504 1
C1 0.0000 0.0000 0.0000 1
```

Most intense lines, 10° ≤ 2θ ≤ 80°, by angle:
2θ (°), d_spacing, I/Imax
31.89, 2.807, 14
38.59, 2.333, 43
40.69, 2.217, 28
43.20, 2.094, 17
43.44, 2.083, 39
48.66, 1.871, 100
53.20, 1.722, 9
62.93, 1.477, 9
65.40, 1.427, 10
79.23, 1.209, 17



No. 4
The following is a simulated PXRD pattern of Dy2CuC4. It was derived from a crystal structure in OQMD, relaxed with PBE, using Cu Kα (λ = 1.5418 Å).

Atomic structure:
```
data_Dy2CuC4
_space_group_name_H-M_alt 'P 1'
_space_group_IT_number 1
_cell_length_a 6.6494
_cell_length_b 6.6494
_cell_length_c 6.6494
_cell_angle_alpha 111.11
_cell_angle_beta 86.01
_cell_angle_gamma 135.18
loop_
_space_group_symop_operation_xyz
'x,y,z'
loop_
_atom_site_label
_atom_site_fract_x
_atom_site_fract_y
_atom_site_fract_z
_atom_site_occupancy
Dy1 0.1403 0.1654 0.3057 1
Dy2 0.3597 0.6654 0.0251 1
Dy3 0.6403 0.3346 0.9749 1
Dy4 0.8597 0.8346 0.6943 1
Cu1 0.2500 0.7500 0.5000 1
Cu2 0.7500 0.2500 0.5000 1
C1 0.0937 0.6801 0.7738 1
C2 0.1279 0.8527 0.9806 1
C3 0.3721 0.3527 0.7247 1
C4 0.4063 0.1801 0.5864 1
C5 0.5937 0.8199 0.4136 1
C6 0.6279 0.6473 0.2753 1
C7 0.8721 0.1473 0.0194 1
C8 0.9063 0.3199 0.2262 1
```

Most intense lines, 10° ≤ 2θ ≤ 80°, by angle:
2θ (°), d_spacing, I/Imax
28.06, 3.180, 100
30.02, 2.977, 45
31.00, 2.885, 63
35.41, 2.535, 22
37.01, 2.429, 48
38.61, 2.332, 24
43.01, 2.103, 25
52.13, 1.754, 34
56.25, 1.635, 17
59.15, 1.562, 43



No. 5
The following is a simulated PXRD pattern of ZrCuH16C24N4F6. It was derived from a crystal structure in OQMD, relaxed with PBE, using Cu Kα (λ = 1.5418 Å).

Atomic structure:
```
data_ZrCuH16C24N4F6
_space_group_name_H-M_alt 'P 1'
_space_group_IT_number 1
_cell_length_a 10.4996
_cell_length_b 10.4996
_cell_length_c 10.4996
_cell_angle_alpha 99.26
_cell_angle_beta 99.26
_cell_angle_gamma 132.69
loop_
_space_group_symop_operation_xyz
'x,y,z'
loop_
_atom_site_label
_atom_site_fract_x
_atom_site_fract_y
_atom_site_fract_z
_atom_site_occupancy
Zr1 0.0000 0.0000 0.0000 1
Cu1 0.5000 0.5000 0.0000 1
H1 0.0956 0.7571 0.3385 1
H2 0.0981 0.2533 0.8448 1
H3 0.2429 0.5815 0.3385 1
H4 0.2429 0.9044 0.6615 1
H5 0.2533 0.0981 0.8448 1
H6 0.2533 0.4086 0.1552 1
H7 0.4086 0.2533 0.1552 1
H8 0.4185 0.7571 0.6615 1
H9 0.5815 0.2429 0.3385 1
H10 0.5914 0.7467 0.8448 1
H11 0.7467 0.5914 0.8448 1
H12 0.7467 0.9019 0.1552 1
H13 0.7571 0.0956 0.3385 1
H14 0.7571 0.4185 0.6615 1
H15 0.9019 0.7467 0.1552 1
H16 0.9044 0.2429 0.6615 1
C1 0.0446 0.5000 0.5446 1
C2 0.0562 0.3563 0.6999 1
C3 0.1477 0.5000 0.6477 1
C4 0.1630 0.3616 0.8014 1
C5 0.3435 0.6437 0.6999 1
C6 0.3563 0.0562 0.6999 1
C7 0.3563 0.6565 0.3001 1
C8 0.3616 0.1630 0.8014 1
C9 0.3616 0.5602 0.1986 1
C10 0.4398 0.6384 0.8014 1
C11 0.5000 0.0446 0.5446 1
C12 0.5000 0.1477 0.6477 1
C13 0.5000 0.8523 0.3523 1
C14 0.5000 0.9554 0.4554 1
C15 0.5602 0.3616 0.1986 1
C16 0.6384 0.4398 0.8014 1
C17 0.6384 0.8370 0.1986 1
C18 0.6437 0.3435 0.6999 1
C19 0.6437 0.9438 0.3001 1
C20 0.6565 0.3563 0.3001 1
C21 0.8370 0.6384 0.1986 1
C22 0.8523 0.5000 0.3523 1
C23 0.9438 0.6437 0.3001 1
C24 0.9554 0.5000 0.4554 1
N1 0.3511 0.5000 0.8511 1
N2 0.5000 0.3511 0.8511 1
N3 0.5000 0.6489 0.1489 1
N4 0.6489 0.5000 0.1489 1
F1 0.1055 0.1055 0.2110 1
F2 0.1055 0.8945 0.0000 1
F3 0.2411 0.2411 0.0000 1
F4 0.7589 0.7589 0.0000 1
F5 0.8945 0.1055 0.0000 1
F6 0.8945 0.8945 0.7890 1
```

Most intense lines, 10° ≤ 2θ ≤ 80°, by angle:
2θ (°), d_spacing, I/Imax
13.02, 6.801, 100
17.99, 4.932, 20
20.65, 4.301, 10
21.09, 4.213, 12
22.27, 3.992, 8
23.05, 3.859, 8
24.86, 3.581, 16
26.21, 3.400, 14
28.16, 3.169, 8
39.76, 2.267, 7



No. 6
The following is a simulated PXRD pattern of FeCu2C. It was derived from a crystal structure in OQMD, relaxed with PBE, using Cu Kα (λ = 1.5418 Å).

Atomic structure:
```
data_FeCu2C
_space_group_name_H-M_alt 'P 1'
_space_group_IT_number 1
_cell_length_a 5.0772
_cell_length_b 6.9617
_cell_length_c 4.5833
_cell_angle_alpha 90.00
_cell_angle_beta 90.00
_cell_angle_gamma 90.00
loop_
_space_group_symop_operation_xyz
'x,y,z'
loop_
_atom_site_label
_atom_site_fract_x
_atom_site_fract_y
_atom_site_fract_z
_atom_site_occupancy
Fe1 0.0453 0.2500 0.1617 1
Fe2 0.4547 0.7500 0.6617 1
Fe3 0.5453 0.2500 0.3383 1
Fe4 0.9547 0.7500 0.8383 1
Cu1 0.1847 0.0716 0.6700 1
Cu2 0.1847 0.4284 0.6700 1
Cu3 0.3153 0.5716 0.1700 1
Cu4 0.3153 0.9284 0.1700 1
Cu5 0.6847 0.0716 0.8300 1
Cu6 0.6847 0.4284 0.8300 1
Cu7 0.8153 0.5716 0.3300 1
Cu8 0.8153 0.9284 0.3300 1
C1 0.1241 0.7500 0.4797 1
C2 0.3759 0.2500 0.9797 1
C3 0.6241 0.7500 0.0203 1
C4 0.8759 0.2500 0.5203 1
```

Most intense lines, 10° ≤ 2θ ≤ 80°, by angle:
2θ (°), d_spacing, I/Imax
37.72, 2.385, 24
39.32, 2.292, 20
42.74, 2.116, 47
43.32, 2.089, 53
43.72, 2.070, 100
44.16, 2.051, 41
45.33, 2.001, 34
47.43, 1.917, 34
48.63, 1.872, 36
77.06, 1.238, 21